Simulated powder diffractogram
Compound: Cs2SnHg10
Radiation: Cu Kα X-rays
Structure: a PBE-relaxed structure
Peak positions follow from Bragg's law for the DFT cell and can differ from measured ones.

Main lines, sorted by position (2θ = 10–90°):
| d/Å | 2theta | I_rel |
| --- | --- | --- |
| 7.058 | 12.54 | 100 |
| 2.960 | 30.19 | 46 |
| 2.869 | 31.18 | 39 |
| 2.783 | 32.16 | 72 |
| 2.655 | 33.77 | 55 |
| 2.623 | 34.18 | 38 |
| 2.557 | 35.09 | 28 |
| 2.457 | 36.57 | 34 |
| 2.166 | 41.69 | 31 |
| 1.391 | 67.29 | 27 |

a = 10.8614 Å, b = 12.6135 Å, c = 7.0584 Å
α = 90.00°, β = 90.00°, γ = 90.00°
Space group Pbam (No. 55)
Asymmetric unit:
Cs  0.2479  0.0622  0.0000
Sn  0.0000  0.5000  0.5000
Hg  0.0421  0.1261  0.5000
Hg  0.0608  0.3130  0.2118
Hg  0.1851  0.6963  0.5000
Hg  0.2293  0.9356  0.5000